ErBr3: theoretical powder X-ray diffraction pattern (a wavelength of 1.5418 Å), based on a structure optimized by DFT (PBE).
Lines closer than 0.1° are merged.

Structure:
Lattice parameters (Å, degrees): 12.6234 3.7579 10.0828 90.00 90.00 90.00
Space group Pnma (No. 62)
Symmetry-distinct sites (fractional):
Er 0.2187 0.2500 0.0500
Br 0.1161 0.7500 0.8856
Br 0.1194 0.2500 0.5484
Br 0.1418 0.7500 0.2367

Main lines, in order of rising 2θ (2θ from 10° to 80°):
Position (°2θ), I/Imax
14.03, 78
17.59, 34
30.12, 28
32.94, 59
33.18, 100
35.85, 32
36.69, 30
59.72, 28